YErCd2: simulated PXRD pattern (copper Kα), based on the GGA-PBE geometry in the Materials Project.
Intensities are scaled so that the largest is 100.

abc: 5.2942 5.2942 5.2942
angles: 60.00 60.00 60.00
Fractional coordinates of all 4 atoms:
Y 0.0000 0.0000 0.0000
Er 0.5000 0.5000 0.5000
Cd 0.2500 0.2500 0.2500
Cd 0.7500 0.7500 0.7500

Largest 10 diffraction maxima, most intense first, 2θ = 10–90°:
| two_theta | intensity |
| --- | --- |
| 33.86 | 100 |
| 60.59 | 36 |
| 48.64 | 18 |
| 81.27 | 15 |
| 71.25 | 11 |
| 20.55 | 5 |
| 39.94 | 3 |
| 53.34 | 1 |
| 64.69 | 1 |
| 75.06 | 1 |